Theoretical X-ray diffraction stick pattern of TiW2O8 for Cu Kα, 1.54184 Å, from a cell relaxed with GGA+U.

Cell and atoms:
```
data_TiW2O8
_chemical_formula_sum 'Ti2 W4 O16'
_cell_length_a 5.047
_cell_length_b 5.825
_cell_length_c 10.525
_cell_angle_alpha 90.00
_cell_angle_beta 117.53
_cell_angle_gamma 90.00
_symmetry_space_group_name_H-M 'P 1 2/c 1'
_symmetry_Int_Tables_number 13
loop_
_symmetry_equiv_pos_as_xyz
'x,y,z'
'-x,-y,-z'
'-x,y,-z+1/2'
'x,-y,z+1/2'
loop_
_atom_site_label
_atom_site_fract_x
_atom_site_fract_y
_atom_site_fract_z
_atom_site_occupancy
Ti1 0.000 0.128 0.250 1
W1 0.236 0.338 0.998 1
O1 0.173 0.392 0.611 1
O2 0.212 0.162 0.139 1
O3 0.244 0.102 0.879 1
O4 0.317 0.385 0.393 1
```

Peak list (10 most intense, 15° ≤ 2θ ≤ 90°, low angle first)
| Position (°2θ) | Rel. int. | hkl |
| --- | --- | --- |
| 15.21 | 42 | 0 1 0 |
| 19.02 | 100 | 0 0 2 |
| 23.32 | 95 | 1 1 -1 |
| 24.44 | 60 | 0 1 2 |
| 30.04 | 72 | 1 1 1 |
| 30.49 | 69 | 1 1 -3 |
| 35.59 | 62 | 2 0 -2 |
| 40.30 | 25 | 2 0 0 |
| 40.83 | 39 | 1 2 -3 |
| 63.92 | 31 | 3 2 -3 |


Theoretical X-ray diffraction stick pattern of TiWO4 for Cu Kα, 1.54184 Å, from a cell relaxed with GGA+U.

Cell and atoms:
```
data_TiWO4
_chemical_formula_sum 'Ti3 W3 O12'
_cell_length_a 4.714
_cell_length_b 3.124
_cell_length_c 14.182
_cell_angle_alpha 90.00
_cell_angle_beta 90.05
_cell_angle_gamma 90.00
_symmetry_space_group_name_H-M 'P 1 2/m 1'
_symmetry_Int_Tables_number 10
loop_
_symmetry_equiv_pos_as_xyz
'x,y,z'
'-x,-y,-z'
'-x,y,-z'
'x,-y,z'
loop_
_atom_site_label
_atom_site_fract_x
_atom_site_fract_y
_atom_site_fract_z
_atom_site_occupancy
Ti1 0.000 0.000 0.000 1
Ti2 0.498 0.500 0.159 1
W1 0.000 0.000 0.325 1
W2 0.500 0.500 0.500 1
O1 0.187 0.500 0.936 1
O2 0.205 0.500 0.605 1
O3 0.211 0.500 0.258 1
O4 0.292 0.000 0.432 1
O5 0.308 0.000 0.776 1
O6 0.312 0.000 0.097 1
```

Peak list (10 most intense, 15° ≤ 2θ ≤ 90°, low angle first)
| Position (°2θ) | Rel. int. | hkl |
| --- | --- | --- |
| 22.65 | 26 | 1 0 2 |
| 26.71 | 100 | 1 0 3 |
| 31.29 | 12 | 0 1 2 |
| 31.55 | 12 | 0 0 5 |
| 34.43 | 80 | 1 1 0 |
| 35.04 | 13 | 1 1 -1 |
| 47.39 | 11 | 1 1 5 |
| 52.30 | 64 | 2 1 3 |
| 55.02 | 16 | 2 0 -6 |
| 66.04 | 15 | 1 2 3 |


Question: Number 2 is which compound?
Answer: TiWO4